The following is a computed PXRD pattern of Li2Ac3Pd4. It was derived from a cell relaxed with PBE, using copper Kα.
Peak positions follow from Bragg's law for the DFT cell and can differ from measured ones.

Main lines, sorted by position (2θ from 10° to 90°):
| 2θ/deg | d/Å | I/Imax |
| --- | --- | --- |
| 22.57 | 3.940 | 41 |
| 30.23 | 2.956 | 30 |
| 30.53 | 2.928 | 54 |
| 30.82 | 2.901 | 31 |
| 31.89 | 2.806 | 69 |
| 32.21 | 2.779 | 31 |
| 32.57 | 2.749 | 100 |
| 38.44 | 2.342 | 48 |
| 40.20 | 2.243 | 42 |
| 63.01 | 1.475 | 30 |

Structural model:
abc: 6.227 6.227 8.975
angles: 110.22 110.22 42.23
Positions (direct):
1 Li 0.175 0.175 0.347
2 Li 0.825 0.825 0.653
3 Ac 0.136 0.136 0.698
4 Ac 0.500 0.500 0.000
5 Ac 0.864 0.864 0.302
6 Pd 0.212 0.212 0.068
7 Pd 0.420 0.420 0.593
8 Pd 0.580 0.580 0.407
9 Pd 0.788 0.788 0.932